For Ce6SnSb5, DFT lattice parameters and positions (GGA-PBE) gives the simulated X-ray powder pattern in this record (CuKα).
No peak broadening, texture or thermal motion is included.

Cell and atoms:
Unit cell a=7.7924 b=13.5011 c=7.7950 alpha=90.00 beta=109.47 gamma=90.00
Space group C2/m (No. 12)
One atom of each set of equivalent atoms:
Ce 0.2502 0.0000 0.2499
Ce 0.2500 0.1668 0.7497
Sn 0.0000 0.0000 0.5000
Sb 0.0000 0.1671 0.0000
Sb 0.0000 0.3335 0.5000
Sb 0.0000 0.5000 0.0000

Top 8 peaks for 2θ = 10–90°, sorted by position:
2θ = 24.22°, intensity 0.9, hkl 2 0 0; 2θ = 28.04°, intensity 100.0, hkl 1 3 1; 2θ = 40.07°, intensity 76.6, hkl 2 0 2; 2θ = 49.62°, intensity 27.5, hkl 4 0 0; 2θ = 57.97°, intensity 12.9, hkl 2 6 2; 2θ = 65.61°, intensity 35.4, hkl 4 6 0; 2θ = 72.81°, intensity 26.1, hkl 5 3 1; 2θ = 86.51°, intensity 8.5, hkl 4 0 4